# 1
Structure and simulated powder XRD pattern of ZnFe2N2 (a cell relaxed with GGA-PBE; Cu Ka).

Structural model:
Cell lengths 3.5312, 3.5312, 4.9114 Å; angles 90.00, 90.00, 90.00 degrees
Space group P-4m2 (No. 115)
Inequivalent atoms, fractional coordinates:
1 Zn 0.0000 0.0000 0.0000 [1 per cell]
2 Fe 0.5000 0.5000 0.2642 [2 per cell]
3 N 0.0000 0.5000 0.7386 [2 per cell]

Main lines, in order of rising 2θ (10 to 80 degrees two-theta):
d 4.911, I = 264, hkl 0 0 1; d 3.531, I = 162, hkl 1 0 0; d 2.867, I = 608, hkl 1 0 1; d 2.497, I = 727, hkl 1 1 0; d 2.226, I = 155, hkl 1 1 1; d 2.016, I = 1000, hkl 1 0 2; d 1.766, I = 411, hkl 2 0 0; d 1.503, I = 151, hkl 2 1 1; d 1.328, I = 459, hkl 2 1 2; d 1.248, I = 115, hkl 2 2 0

# 2
Structure and simulated powder XRD pattern of Mg14FeSi (a cell relaxed with GGA-PBE; Cu Ka).

Structural model:
Cell lengths 6.1560, 6.1560, 10.0027 Å; angles 90.00, 90.00, 120.00 degrees
Space group P-6m2 (No. 187)
Inequivalent atoms, fractional coordinates:
1 Mg 0.0000 0.0000 0.2496 [2 per cell]
2 Mg 0.0140 0.5070 0.2431 [6 per cell]
3 Mg 0.3326 0.1663 0.0000 [3 per cell]
4 Mg 0.3332 0.1666 0.5000 [3 per cell]
5 Fe 0.3333 0.6667 0.0000 [1 per cell]
6 Si 0.3333 0.6667 0.5000 [1 per cell]

Main lines, in order of rising 2θ (10 to 80 degrees two-theta):
d 5.331, I = 59, hkl 1 0 0; d 4.705, I = 39, hkl 1 0 1; d 2.666, I = 246, hkl 2 0 0; d 2.501, I = 265, hkl 0 0 4; d 2.352, I = 1000, hkl 2 0 2; d 1.824, I = 151, hkl 2 0 4; d 1.539, I = 164, hkl 2 2 0; d 1.413, I = 180, hkl 2 0 6; d 1.311, I = 183, hkl 2 2 4; d 1.288, I = 129, hkl 4 0 2

# 3
Structure and simulated powder XRD pattern of TmB4Rh4 (a cell relaxed with GGA-PBE; Cu Ka).

Structural model:
Cell lengths 5.3259, 5.3259, 7.4452 Å; angles 90.00, 90.00, 90.00 degrees
Space group P4_2/nmc (No. 137, origin choice 2)
Inequivalent atoms, fractional coordinates:
1 Tm 0.2500 0.7500 0.2500 [2 per cell]
2 B 0.0815 0.2500 0.1017 [8 per cell]
3 Rh 0.0016 0.7500 0.6044 [8 per cell]

Main lines, in order of rising 2θ (10 to 80 degrees two-theta):
d 3.766, I = 245, hkl 1 1 0; d 3.051, I = 391, hkl 1 0 2; d 2.647, I = 245, hkl 1 1 2; d 2.507, I = 717, hkl 2 0 1; d 2.269, I = 1000, hkl 2 1 1; d 2.250, I = 728, hkl 1 0 3; d 2.006, I = 314, hkl 2 1 2; d 1.449, I = 229, hkl 3 2 1; d 1.444, I = 185, hkl 3 0 3; d 1.324, I = 281, hkl 2 2 4